1.
This entry pairs a crystal structure of Nb5SnSe8 with its simulated PXRD pattern. Radiation: Cu Kα (λ = 1.5418 Å). Structure: DFT lattice parameters and positions (GGA-PBE).
Intensities are scaled so that the largest is 100.

a b c (Å): 9.508 9.508 9.413
angles (deg): 103.05 103.05 20.96
Atoms (fractional coordinates):
1 Nb 0.000 0.000 0.000
2 Nb 0.287 0.287 0.630
3 Nb 0.360 0.360 0.002
4 Nb 0.640 0.640 0.998
5 Nb 0.713 0.713 0.370
6 Sn 0.500 0.500 0.500
7 Se 0.083 0.083 0.804
8 Se 0.150 0.150 0.508
9 Se 0.241 0.241 0.158
10 Se 0.430 0.430 0.800
11 Se 0.570 0.570 0.200
12 Se 0.759 0.759 0.842
13 Se 0.850 0.850 0.492
14 Se 0.917 0.917 0.196

The 6 most intense peaks (10 to 80 degrees two-theta), most intense first:
2θ (°)  I (rel.)
32.4  100
39.6  92
52.9  48
51.3  44
31.4  41
39.2  38

***

2.
This entry pairs a crystal structure of TiNb3Se6 with its simulated PXRD pattern. Radiation: Cu Kα (λ = 1.5418 Å). Structure: DFT lattice parameters and positions (GGA-PBE).
Intensities are scaled so that the largest is 100.

a b c (Å): 6.054 6.054 13.126
angles (deg): 90.00 90.00 120.00
Atoms (fractional coordinates):
1 Ti 0.333 0.667 0.250
2 Ti 0.667 0.333 0.750
3 Nb 0.000 0.000 0.000
4 Nb 0.000 0.000 0.500
5 Nb 0.333 0.667 0.000
6 Nb 0.333 0.667 0.500
7 Nb 0.667 0.333 0.000
8 Nb 0.667 0.333 0.500
9 Se 0.004 0.333 0.872
10 Se 0.004 0.670 0.628
11 Se 0.330 0.333 0.628
12 Se 0.330 0.996 0.872
13 Se 0.333 0.004 0.128
14 Se 0.333 0.330 0.372
15 Se 0.667 0.670 0.872
16 Se 0.667 0.996 0.628
17 Se 0.670 0.004 0.372
18 Se 0.670 0.667 0.128
19 Se 0.996 0.330 0.128
20 Se 0.996 0.667 0.372

The 6 most intense peaks (10 to 80 degrees two-theta), most intense first:
2θ (°)  I (rel.)
40.5  100
30.3  56
52.4  47
36.1  41
13.5  38
32.6  35

***

3.
This entry pairs a crystal structure of Nb2VSe4 with its simulated PXRD pattern. Radiation: Cu Kα (λ = 1.5418 Å). Structure: DFT lattice parameters and positions (GGA-PBE).
Intensities are scaled so that the largest is 100.

a b c (Å): 7.117 7.117 6.380
angles (deg): 114.94 114.94 28.65
Atoms (fractional coordinates):
1 Nb 0.244 0.244 0.178
2 Nb 0.756 0.756 0.822
3 V 0.500 0.500 0.500
4 Se 0.136 0.136 0.474
5 Se 0.400 0.400 0.056
6 Se 0.600 0.600 0.944
7 Se 0.864 0.864 0.526

The 6 most intense peaks (10 to 80 degrees two-theta), most intense first:
2θ (°)  I (rel.)
32.2  100
41.6  58
31.9  48
40.9  34
50.1  33
51.9  30